# 1
Computed X-ray diffraction stick pattern of ZrC8N2Cl6 for Cu Kα, from the PBE geometry in the Materials Project.
Neutral-atom scattering factors, no anomalous dispersion.

Atomic structure:
Lattice parameters (Å, degrees): 11.1090 11.1090 11.1090 90.00 90.00 90.00
Space group Fm-3m (No. 225)
One atom of each set of equivalent atoms:
1 Zr 0.0000 0.0000 0.0000 x4
2 C 0.1749 0.1749 0.3251 x32
3 N 0.2500 0.2500 0.2500 x8
4 Cl 0.0000 0.0000 0.2241 x24

Peak list (10 most intense, 15° ≤ 2θ ≤ 90°, by angle)
2θ/deg, Rel. int., h k l
15.96, 44, 2 0 0
22.64, 46, 2 2 0
26.61, 79, 3 1 1
27.82, 61, 2 2 2
32.23, 100, 4 0 0
36.16, 67, 4 2 0
42.27, 54, 5 1 1
46.23, 73, 4 4 0
48.48, 59, 5 3 1
49.21, 35, 6 0 0

=====

# 2
Computed X-ray diffraction stick pattern of OsC4Cl2O4 for Cu Kα, from the PBE geometry in the Materials Project.
Neutral-atom scattering factors, no anomalous dispersion.

Atomic structure:
Lattice parameters (Å, degrees): 6.6990 10.3620 11.8166 90.00 96.50 90.00
Space group C2/c (No. 15)
One atom of each set of equivalent atoms:
1 Os 0.0000 0.0694 0.2500 x4
2 C 0.0927 0.1984 0.1520 x8
3 C 0.2330 0.4354 0.6575 x8
4 Cl 0.1285 0.1015 0.6339 x8
5 O 0.0754 0.4351 0.6080 x8
6 O 0.1438 0.2779 0.0933 x8

Peak list (10 most intense, 15° ≤ 2θ ≤ 90°, by angle)
2θ/deg, Rel. int., h k l
15.09, 61, 0 0 2
15.83, 100, 1 1 0
17.11, 21, 0 2 0
18.72, 32, 0 2 1
20.85, 49, 1 1 -2
22.94, 68, 1 1 2
28.58, 20, 0 2 3
29.73, 23, 1 3 -1
32.39, 30, 2 0 2
36.27, 42, 1 3 -3

=====

# 3
Computed X-ray diffraction stick pattern of OsC4Cl2O4 for Cu Kα, from the PBE geometry in the Materials Project.
Neutral-atom scattering factors, no anomalous dispersion.

Atomic structure:
Lattice parameters (Å, degrees): 6.0894 6.0894 12.0741 90.00 90.00 90.00
Space group P4_2/mnm (No. 136)
One atom of each set of equivalent atoms:
1 Os 0.0000 0.0000 0.0000 x2
2 C 0.1606 0.1606 0.1162 x8
3 Cl 0.2166 0.2166 0.5000 x4
4 O 0.2490 0.7510 0.3139 x8

Peak list (10 most intense, 15° ≤ 2θ ≤ 90°, by angle)
2θ/deg, Rel. int., h k l
16.30, 100, 1 0 1
20.63, 33, 1 1 0
25.41, 35, 1 1 2
26.55, 21, 1 0 3
30.40, 15, 1 1 3
32.94, 16, 2 0 2
33.74, 35, 2 1 1
39.97, 25, 2 1 3
41.96, 13, 2 2 0
50.51, 13, 2 1 5

=====

# 4
Computed X-ray diffraction stick pattern of PbCClO2 for Cu Kα, from the PBE geometry in the Materials Project.
Neutral-atom scattering factors, no anomalous dispersion.

Atomic structure:
Lattice parameters (Å, degrees): 6.0340 5.9697 9.5173 90.00 94.94 90.00
Space group C2/m (No. 12)
One atom of each set of equivalent atoms:
1 Pb 0.2285 0.0000 0.2772 x4
2 C 0.0000 0.3696 0.0000 x4
3 Cl 0.2271 0.5000 0.3838 x4
4 O 0.0574 0.2715 0.8905 x8

Peak list (10 most intense, 15° ≤ 2θ ≤ 90°, by angle)
2θ/deg, Rel. int., h k l
18.72, 67, 0 0 2
22.46, 83, 1 1 -1
23.52, 100, 1 1 1
29.72, 30, 2 0 0
29.94, 34, 0 2 0
34.36, 44, 1 1 -3
35.54, 39, 0 2 2
36.49, 41, 1 1 3
42.69, 39, 2 2 0
48.09, 28, 2 2 2

=====

# 5
Computed X-ray diffraction stick pattern of Pb2CCl2O3 for Cu Kα, from the PBE geometry in the Materials Project.
Neutral-atom scattering factors, no anomalous dispersion.

Atomic structure:
Lattice parameters (Å, degrees): 8.7104 8.9955 9.0783 88.05 89.13 86.86
Space group P1 (No. 1)
One atom of each set of equivalent atoms:
1 Pb 0.0000 0.0000 0.0000 x1
2 Pb 0.0373 0.0666 0.4584 x1
3 Pb 0.2185 0.5418 0.5970 x1
4 Pb 0.4284 0.0546 0.1647 x1
5 Pb 0.4852 0.6017 0.2217 x1
6 Pb 0.5950 0.1433 0.7430 x1
7 Pb 0.6787 0.6273 0.6484 x1
8 Pb 0.9276 0.5075 0.9864 x1
9 C 0.1034 0.2931 0.1547 x1
10 C 0.4674 0.3233 0.5022 x1
11 C 0.6331 0.3343 0.0064 x1
12 C 0.9608 0.3369 0.6198 x1
13 Cl 0.1685 0.8312 0.2061 x1
14 Cl 0.2352 0.5889 0.8907 x1
15 Cl 0.3023 0.0256 0.8770 x1
16 Cl 0.4283 0.7953 0.5081 x1
17 Cl 0.6374 0.8206 0.0113 x1
18 Cl 0.7633 0.6118 0.3661 x1
19 Cl 0.8140 0.0717 0.2495 x1
20 Cl 0.8783 0.8627 0.6733 x1
21 O 0.0484 0.2613 0.0245 x1
22 O 0.0765 0.4245 0.2004 x1
23 O 0.1057 0.2976 0.5941 x1
24 O 0.1785 0.1879 0.2302 x1
25 O 0.4055 0.4101 0.4005 x1
26 O 0.4700 0.3770 0.6386 x1
27 O 0.5119 0.2572 0.0080 x1
28 O 0.5188 0.1903 0.4820 x1
29 O 0.6610 0.4275 0.1067 x1
30 O 0.7313 0.3199 0.8972 x1
31 O 0.8574 0.2467 0.5859 x1
32 O 0.9294 0.4668 0.6755 x1

Peak list (10 most intense, 15° ≤ 2θ ≤ 90°, by angle)
2θ/deg, Rel. int., h k l
16.64, 27, 1 1 1
19.78, 85, 0 2 0
21.98, 35, 1 0 2
22.23, 64, 1 0 -2
22.56, 27, 2 0 1
22.79, 46, 2 0 -1
29.37, 34, 2 1 2
29.84, 100, 2 2 -1
30.56, 35, 1 -2 2
30.88, 26, 0 1 3

=====

# 6
Computed X-ray diffraction stick pattern of Pb2CCl2O3 for Cu Kα, from the PBE geometry in the Materials Project.
Neutral-atom scattering factors, no anomalous dispersion.

Atomic structure:
Lattice parameters (Å, degrees): 8.2676 8.2676 9.0282 90.00 90.00 90.00
Space group P4/mbm (No. 127)
One atom of each set of equivalent atoms:
1 Pb 0.1673 0.3327 0.2411 x8
2 C 0.1768 0.6768 0.5000 x4
3 Cl 0.0000 0.0000 0.2551 x4
4 Cl 0.1477 0.6477 0.0000 x4
5 O 0.1270 0.6270 0.3722 x8
6 O 0.2107 0.2893 0.5000 x4

Peak list (10 most intense, 15° ≤ 2θ ≤ 90°, by angle)
2θ/deg, Rel. int., h k l
19.67, 49, 0 0 2
21.50, 24, 2 0 0
24.07, 54, 2 1 0
31.27, 100, 2 1 2
34.30, 29, 3 1 0
39.88, 34, 0 0 4
47.18, 26, 2 1 4
49.76, 26, 4 1 2
51.06, 16, 3 3 2
53.63, 15, 3 1 4

=====

Number 5 is which compound? Pb2CCl2O3

=====

Which formula does entry 3 have? OsC4Cl2O4